[1]
Li4TeO: calculated PXRD pattern (Cu Ka), based on a structure optimized by DFT (PBE).

The 10 most intense peaks (2θ from 10° to 80°), sorted by position:
- 16.02 deg, d 5.531, intensity 58.5, hkl 0 0 1
- 20.03 deg, d 4.432, intensity 71.6, hkl 1 1 0
- 23.84 deg, d 3.733, intensity 100.0, hkl 1 1 -1
- 27.56 deg, d 3.237, intensity 60.0, hkl 1 1 1
- 28.08 deg, d 3.177, intensity 28.1, hkl 2 0 0
- 28.87 deg, d 3.092, intensity 21.8, hkl 0 2 0
- 33.19 deg, d 2.699, intensity 23.8, hkl 0 2 1
- 40.72 deg, d 2.216, intensity 22.9, hkl 2 2 0
- 43.92 deg, d 2.061, intensity 21.2, hkl 0 2 2
- 56.85 deg, d 1.620, intensity 19.3, hkl 2 2 2

Structure:
Cell lengths 6.4967, 6.1844, 5.6548 Å; angles 90.00, 102.01, 90.00 degrees
Space group C2 (No. 5)
Asymmetric unit:
Li  0.1424  0.0000  0.2174 (multiplicity 4)
Li  0.1473  0.5989  0.2111 (multiplicity 4)
Te  0.0000  0.3026  0.5000 (multiplicity 2)
O  0.0000  0.8010  0.0000 (multiplicity 2)

=====

[2]
Pm5Cu3: calculated PXRD pattern (Cu Ka), based on a structure optimized by DFT (PBE).

The 10 most intense peaks (2θ from 10° to 80°), sorted by position:
- 25.55 deg, d 3.487, intensity 18.9, hkl 1 0 1
- 27.62 deg, d 3.230, intensity 13.2, hkl 0 0 5
- 33.50 deg, d 2.675, intensity 100.0, hkl 1 0 4
- 35.55 deg, d 2.525, intensity 55.5, hkl 1 1 0
- 42.04 deg, d 2.149, intensity 9.0, hkl 1 0 6
- 45.60 deg, d 1.989, intensity 13.8, hkl 1 1 5
- 51.15 deg, d 1.786, intensity 19.5, hkl 2 0 0
- 57.48 deg, d 1.603, intensity 8.8, hkl 1 0 9
- 62.54 deg, d 1.485, intensity 32.2, hkl 2 1 4
- 69.04 deg, d 1.360, intensity 8.1, hkl 1 1 10

Structure:
Cell lengths 3.5713, 3.5713, 16.1480 Å; angles 90.00, 90.00, 90.00 degrees
Space group P4/mmm (No. 123)
Asymmetric unit:
Pm  0.0000  0.0000  0.0000 (multiplicity 1)
Pm  0.0000  0.0000  0.2191 (multiplicity 2)
Pm  0.5000  0.5000  0.3906 (multiplicity 2)
Cu  0.0000  0.0000  0.5000 (multiplicity 1)
Cu  0.5000  0.5000  0.1095 (multiplicity 2)